No. 1
LiTe: theoretical powder X-ray diffraction pattern (Cu Ka), based on a PBE-relaxed structure.
Peak positions follow from Bragg's law for the DFT cell and can differ from measured ones.

Top 6 peaks for 2θ from 10° to 80°, by angle:
20.83 deg, 4.265 Å, I 100.0, (0 2 0); 25.97 deg, 3.430 Å, I 70.6, (1 0 2); 27.67 deg, 3.224 Å, I 42.0, (1 2 1); 33.07 deg, 2.709 Å, I 34.4, (2 1 1); 33.49 deg, 2.676 Å, I 34.8, (1 2 2); 43.54 deg, 2.079 Å, I 32.7, (0 0 4)

Cell and atoms:
a = 6.082 Å, b = 8.550 Å, c = 8.308 Å
α = 90.00°, β = 90.00°, γ = 90.00°
Space group Pbca (No. 61)
One atom of each set of equivalent atoms:
1 Li 0.026 0.132 0.132
2 Te 0.155 0.565 0.892



No. 2
CdHg3Pb: theoretical powder X-ray diffraction pattern (Cu Ka), based on a PBE-relaxed structure.
Peak positions follow from Bragg's law for the DFT cell and can differ from measured ones.

Top 6 peaks for 2θ from 10° to 80°, by angle:
31.67 deg, 2.825 Å, I 21.4, (0 1 3); 32.49 deg, 2.756 Å, I 100.0, (2 1 2); 32.76 deg, 2.734 Å, I 38.2, (1 1 3); 32.97 deg, 2.716 Å, I 53.7, (4 0 0); 34.27 deg, 2.617 Å, I 22.8, (1 0 5); 37.24 deg, 2.415 Å, I 46.8, (2 0 5)

Cell and atoms:
a = 10.866 Å, b = 3.633 Å, c = 13.481 Å
α = 90.00°, β = 90.00°, γ = 90.00°
Space group Pnma (No. 62)
One atom of each set of equivalent atoms:
1 Cd 0.124 0.250 0.137
2 Hg 0.111 0.250 0.921
3 Hg 0.119 0.750 0.731
4 Hg 0.126 0.750 0.320
5 Pb 0.135 0.250 0.529



No. 3
Zn2Si7Ir12: theoretical powder X-ray diffraction pattern (Cu Ka), based on a PBE-relaxed structure.
Peak positions follow from Bragg's law for the DFT cell and can differ from measured ones.

Top 6 peaks for 2θ from 10° to 80°, by angle:
27.79 deg, 3.210 Å, I 21.7, (2 1 0); 36.93 deg, 2.434 Å, I 100.0, (2 1 1); 45.53 deg, 1.992 Å, I 15.1, (1 3 1); 46.62 deg, 1.948 Å, I 22.7, (3 2 0); 48.78 deg, 1.867 Å, I 16.1, (0 0 2); 49.16 deg, 1.853 Å, I 15.3, (1 4 0)

Cell and atoms:
a = 9.8064 Å, b = 9.8064 Å, c = 3.7337 Å
α = 90.00°, β = 90.00°, γ = 120.00°
Space group P-6 (No. 174)
One atom of each set of equivalent atoms:
1 Zn 0.0000 0.0000 0.0000
2 Zn 0.3333 0.6667 0.5000
3 Si 0.0703 0.4441 0.0000
4 Si 0.2607 0.2241 0.5000
5 Si 0.6667 0.3333 0.0000
6 Ir 0.0435 0.2602 0.5000
7 Ir 0.1181 0.7071 0.0000
8 Ir 0.3972 0.1877 0.0000
9 Ir 0.5345 0.4434 0.5000



No. 4
CeAl3AgHg: theoretical powder X-ray diffraction pattern (Cu Ka), based on a PBE-relaxed structure.
Peak positions follow from Bragg's law for the DFT cell and can differ from measured ones.

Top 6 peaks for 2θ from 10° to 80°, by angle:
21.79 deg, 4.078 Å, I 63.6, (1 3 0); 26.47 deg, 3.367 Å, I 100.0, (1 3 1); 29.96 deg, 2.983 Å, I 42.6, (0 0 2); 30.24 deg, 2.956 Å, I 41.8, (2 0 0); 43.09 deg, 2.100 Å, I 49.7, (2 0 2); 43.22 deg, 2.093 Å, I 66.2, (1 7 1)

Cell and atoms:
a = 5.912 Å, b = 16.905 Å, c = 5.965 Å
α = 90.00°, β = 90.00°, γ = 90.00°
Space group Cmcm (No. 63)
One atom of each set of equivalent atoms:
1 Ce 0.000 0.173 0.250
2 Al 0.000 0.261 0.750
3 Al 0.236 0.000 0.000
4 Ag 0.000 0.411 0.750
5 Hg 0.000 0.110 0.750